[1]
Structure and simulated powder XRD pattern of Tb5Ce2Tm6 (a crystal structure in Alexandria, relaxed with PBE; Cu Kα).

Largest 10 diffraction maxima, by angle, 2θ = 5–70°:
2θ = 29.67°, I = 36
2θ = 31.47°, I = 59
2θ = 31.91°, I = 100
2θ = 32.75°, I = 81
2θ = 34.78°, I = 52
2θ = 35.39°, I = 24
2θ = 37.38°, I = 20
2θ = 52.16°, I = 37
2θ = 62.17°, I = 17
2θ = 62.44°, I = 19

Cell and atoms:
```
Tb5Ce2Tm6
1.0
11.316 0.000 0.000
0.000 20.555 0.000
0.000 0.000 3.509
Tb Ce Tm
10 4 12
Direct
0.000 0.000 0.000
0.065 0.294 0.000
0.187 0.579 0.000
0.313 0.079 0.000
0.435 0.794 0.000
0.500 0.500 0.000
0.565 0.206 0.000
0.687 0.921 0.000
0.813 0.421 0.000
0.935 0.706 0.000
0.189 0.736 0.500
0.311 0.236 0.500
0.689 0.764 0.500
0.811 0.264 0.500
0.066 0.147 0.500
0.084 0.438 0.500
0.185 0.876 0.000
0.315 0.376 0.000
0.416 0.938 0.500
0.434 0.647 0.500
0.566 0.353 0.500
0.584 0.062 0.500
0.685 0.624 0.000
0.815 0.124 0.000
0.916 0.562 0.500
0.934 0.853 0.500
```



[2]
Structure and simulated powder XRD pattern of Ti5Cu3Au3 (a crystal structure in Alexandria, relaxed with PBE; Cu Kα).

Largest 10 diffraction maxima, by angle, 2θ = 5–70°:
2θ = 20.33°, I = 97
2θ = 23.52°, I = 41
2θ = 35.60°, I = 38
2θ = 37.43°, I = 100
2θ = 39.35°, I = 32
2θ = 43.11°, I = 86
2θ = 44.68°, I = 51
2θ = 52.61°, I = 32
2θ = 54.09°, I = 24
2θ = 62.49°, I = 27

Cell and atoms:
```
Ti5Cu3Au3
1.0
8.737 0.000 0.000
-4.368 7.566 0.000
0.000 0.000 2.877
Ti Cu Au
5 3 3
Direct
0.000 0.338 0.000
0.333 0.667 0.000
0.338 0.000 0.000
0.662 0.662 0.000
0.667 0.333 0.000
0.000 0.843 0.000
0.157 0.157 0.000
0.843 0.000 0.000
0.000 0.599 0.500
0.401 0.401 0.500
0.599 0.000 0.500
```



[3]
Structure and simulated powder XRD pattern of Al5ZnCu (a crystal structure in Alexandria, relaxed with PBE; Cu Kα).

Largest 10 diffraction maxima, by angle, 2θ = 5–70°:
2θ = 20.13°, I = 100
2θ = 22.50°, I = 61
2θ = 23.99°, I = 84
2θ = 30.37°, I = 44
2θ = 40.92°, I = 41
2θ = 41.31°, I = 34
2θ = 43.87°, I = 63
2θ = 46.37°, I = 41
2θ = 48.01°, I = 30
2θ = 50.62°, I = 31

Cell and atoms:
```
Al5ZnCu
1.0
-3.710 4.411 2.335
3.710 -4.411 2.335
3.710 4.411 -2.335
Al Zn Cu
5 1 1
Direct
0.000 0.000 0.000
0.064 0.327 0.737
0.559 0.233 0.674
0.559 0.885 0.326
0.590 0.327 0.263
0.504 0.504 0.000
0.086 0.586 0.500
```



[4]
Structure and simulated powder XRD pattern of Ca2Pt (a crystal structure in Alexandria, relaxed with PBE; Cu Kα).

Largest 10 diffraction maxima, by angle, 2θ = 5–70°:
2θ = 19.14°, I = 100
2θ = 23.80°, I = 22
2θ = 26.18°, I = 22
2θ = 27.22°, I = 25
2θ = 31.16°, I = 34
2θ = 33.89°, I = 57
2θ = 35.68°, I = 48
2θ = 38.84°, I = 24
2θ = 42.31°, I = 17
2θ = 50.63°, I = 25

Cell and atoms:
```
Ca2Pt
1.0
6.336 -1.956 0.000
6.336 1.956 0.000
-0.014 0.000 6.807
Ca Pt
4 2
Direct
0.000 0.000 0.000
0.023 0.023 0.500
0.289 0.289 0.685
0.734 0.734 0.186
0.396 0.396 0.276
0.627 0.627 0.777
```



[5]
Structure and simulated powder XRD pattern of Pr8Co3IrI4 (a crystal structure in Alexandria, relaxed with PBE; Cu Kα).

Largest 10 diffraction maxima, by angle, 2θ = 5–70°:
2θ = 10.81°, I = 11
2θ = 28.88°, I = 100
2θ = 30.92°, I = 18
2θ = 32.82°, I = 10
2θ = 35.84°, I = 11
2θ = 38.64°, I = 25
2θ = 43.82°, I = 38
2θ = 48.03°, I = 7
2θ = 53.33°, I = 18
2θ = 55.81°, I = 13

Cell and atoms:
```
Pr8Co3IrI4
1.0
7.155 -4.133 0.000
7.155 4.133 0.000
-4.760 0.000 8.187
Pr Co Ir I
8 3 1 4
Direct
0.221 0.732 0.684
0.228 0.228 0.682
0.268 0.779 0.316
0.269 0.269 0.316
0.731 0.731 0.684
0.732 0.221 0.684
0.772 0.772 0.318
0.779 0.268 0.316
0.000 0.000 0.500
0.000 0.500 0.500
0.500 0.000 0.500
0.500 0.500 0.500
0.000 0.000 0.000
0.000 0.500 0.000
0.500 0.000 0.000
0.500 0.500 0.000
```



[6]
Structure and simulated powder XRD pattern of Pr3ErRu (a crystal structure in Alexandria, relaxed with PBE; Cu Kα).

Largest 10 diffraction maxima, by angle, 2θ = 5–70°:
2θ = 15.94°, I = 8
2θ = 22.62°, I = 16
2θ = 27.80°, I = 96
2θ = 32.21°, I = 100
2θ = 39.72°, I = 8
2θ = 46.19°, I = 73
2θ = 54.77°, I = 44
2θ = 57.43°, I = 26
2θ = 62.52°, I = 4
2θ = 67.39°, I = 12

Cell and atoms:
```
Pr3ErRu
1.0
5.558 0.000 0.000
0.000 5.558 0.000
0.000 0.000 5.558
Pr Er Ru
3 1 1
Direct
0.000 0.000 0.500
0.000 0.500 0.000
0.500 0.000 0.000
0.500 0.500 0.500
0.000 0.000 0.000
```



[7]
Structure and simulated powder XRD pattern of Tb4CuPt (a crystal structure in Alexandria, relaxed with PBE; Cu Kα).

Largest 10 diffraction maxima, by angle, 2θ = 5–70°:
2θ = 28.68°, I = 100
2θ = 28.84°, I = 60
2θ = 31.55°, I = 24
2θ = 31.66°, I = 41
2θ = 36.57°, I = 17
2θ = 36.79°, I = 25
2θ = 43.26°, I = 46
2θ = 43.56°, I = 16
2θ = 49.05°, I = 20
2θ = 49.19°, I = 20

Cell and atoms:
```
Tb4CuPt
1.0
6.975 0.000 0.000
0.000 6.925 0.000
-0.085 0.000 6.905
Tb Cu Pt
8 2 2
Direct
0.158 0.157 0.157
0.158 0.343 0.657
0.338 0.658 0.162
0.338 0.842 0.662
0.662 0.158 0.338
0.662 0.342 0.838
0.842 0.657 0.343
0.842 0.843 0.843
0.500 0.000 0.000
0.500 0.500 0.500
0.000 0.000 0.500
0.000 0.500 0.000
```



[8]
Structure and simulated powder XRD pattern of TmNp2Se4 (a crystal structure in Alexandria, relaxed with PBE; Cu Kα).

Largest 10 diffraction maxima, by angle, 2θ = 5–70°:
2θ = 23.28°, I = 100
2θ = 30.18°, I = 26
2θ = 30.87°, I = 48
2θ = 32.87°, I = 76
2θ = 40.29°, I = 48
2θ = 42.64°, I = 22
2θ = 44.74°, I = 46
2θ = 46.18°, I = 26
2θ = 52.34°, I = 24
2θ = 66.26°, I = 23

Cell and atoms:
```
TmNp2Se4
1.0
1.966 -6.755 0.000
1.966 6.755 0.000
0.000 0.000 13.903
Tm Np Se
2 4 8
Direct
0.121 0.879 0.750
0.879 0.121 0.250
0.365 0.635 0.569
0.365 0.635 0.931
0.635 0.365 0.069
0.635 0.365 0.431
0.000 0.000 0.000
0.000 0.000 0.500
0.282 0.718 0.126
0.282 0.718 0.374
0.470 0.530 0.750
0.530 0.470 0.250
0.718 0.282 0.626
0.718 0.282 0.874
```



[9]
Structure and simulated powder XRD pattern of RbLi2Hg2Cl7 (a crystal structure in Alexandria, relaxed with PBE; Cu Kα).

Largest 10 diffraction maxima, by angle, 2θ = 5–70°:
2θ = 7.99°, I = 42
2θ = 15.26°, I = 39
2θ = 16.02°, I = 31
2θ = 17.86°, I = 100
2θ = 23.62°, I = 20
2θ = 24.89°, I = 43
2θ = 25.84°, I = 35
2θ = 30.80°, I = 32
2θ = 40.00°, I = 30
2θ = 43.83°, I = 23

Cell and atoms:
```
RbLi2Hg2Cl7
1.0
3.578 2.066 11.067
-3.578 2.066 11.067
0.000 -4.131 11.067
Rb Li Hg Cl
1 2 2 7
Direct
0.000 0.000 0.000
0.433 0.433 0.433
0.567 0.567 0.567
0.264 0.264 0.264
0.736 0.736 0.736
0.089 0.408 0.698
0.302 0.592 0.911
0.408 0.698 0.089
0.500 0.500 0.500
0.592 0.911 0.302
0.698 0.089 0.408
0.911 0.302 0.592
```



[10]
Structure and simulated powder XRD pattern of Np6Ga (a crystal structure in Alexandria, relaxed with PBE; Cu Kα).

Largest 10 diffraction maxima, by angle, 2θ = 5–70°:
2θ = 18.37°, I = 100
2θ = 26.10°, I = 42
2θ = 32.11°, I = 100
2θ = 37.24°, I = 18
2θ = 41.83°, I = 26
2θ = 46.04°, I = 76
2θ = 49.97°, I = 59
2θ = 53.69°, I = 45
2θ = 57.23°, I = 16
2θ = 60.64°, I = 17

Cell and atoms:
```
Np6Ga
1.0
-3.415 3.415 3.415
3.415 -3.415 3.415
3.415 3.415 -3.415
Np Ga
6 1
Direct
0.250 0.500 0.750
0.250 0.750 0.500
0.500 0.250 0.750
0.500 0.750 0.250
0.750 0.250 0.500
0.750 0.500 0.250
0.000 0.000 0.000
```



[11]
Structure and simulated powder XRD pattern of Pm5HoTm5 (a crystal structure in Alexandria, relaxed with PBE; Cu Kα).

Largest 10 diffraction maxima, by angle, 2θ = 5–70°:
2θ = 27.41°, I = 22
2θ = 28.51°, I = 16
2θ = 29.66°, I = 19
2θ = 30.07°, I = 18
2θ = 30.21°, I = 57
2θ = 30.66°, I = 31
2θ = 33.45°, I = 100
2θ = 43.58°, I = 24
2θ = 55.75°, I = 23
2θ = 61.49°, I = 15

Cell and atoms:
```
Pm5HoTm5
1.0
9.420 -2.959 0.000
9.420 2.959 0.000
-2.603 0.000 6.510
Pm Ho Tm
5 1 5
Direct
0.000 0.000 0.000
0.323 0.323 0.068
0.323 0.323 0.578
0.677 0.677 0.422
0.677 0.677 0.932
0.500 0.500 0.000
0.122 0.122 0.622
0.168 0.168 0.169
0.500 0.500 0.500
0.832 0.832 0.831
0.878 0.878 0.378
```